Entry 1:
Y2Ga4NiPt: calculated X-ray powder pattern (Cu Kα (λ = 1.5418 Å)), based on the PBE geometry in OQMD.
Peak positions follow from Bragg's law for the DFT cell and can differ from measured ones.

Structural model:
```
Y2Ga4NiPt
1.0
6.7108 0.0000 0.0000
0.0000 2.1291 5.0863
0.0000 -2.1291 5.0863
Y Ga Ni Pt
2 4 1 1
Direct
0.0000 0.0000 0.0000
0.5000 0.1560 0.1560
0.2048 0.7158 0.7158
0.3109 0.4438 0.4438
0.6891 0.4438 0.4438
0.7952 0.7158 0.7158
0.5000 0.8700 0.8700
0.0000 0.2863 0.2863
```

Most intense lines, 5° ≤ 2θ ≤ 70°, low angle first:
2θ/deg	I_rel
13.19	19
17.44	25
21.93	17
35.18	98
36.42	100
37.83	44
42.46	48
43.49	45
46.73	33
54.68	20
58.16	25
68.18	22

Entry 2:
Li8Ho4O11: calculated X-ray powder pattern (Cu Kα (λ = 1.5418 Å)), based on the PBE geometry in OQMD.
Peak positions follow from Bragg's law for the DFT cell and can differ from measured ones.

Structural model:
```
Li8Ho4O11
1.0
5.0611 0.0000 0.0000
0.8379 5.5967 0.0000
2.2319 0.7768 9.2166
Li Ho O
8 4 11
Direct
0.0000 0.0000 0.0000
0.0238 0.2875 0.4568
0.0639 0.5962 0.8836
0.2691 0.0436 0.6912
0.4513 0.5014 0.5227
0.5024 0.7776 0.9274
0.5596 0.1051 0.4020
0.7527 0.4704 0.2267
0.1444 0.7857 0.2911
0.3207 0.3199 0.1154
0.6847 0.2804 0.7890
0.8504 0.7888 0.6191
0.0737 0.4179 0.6620
0.1399 0.6711 0.0754
0.2253 0.9318 0.4810
0.3418 0.1185 0.9292
0.3790 0.4185 0.3219
0.4655 0.6504 0.7454
0.6444 0.1604 0.5823
0.7299 0.4183 0.9963
0.7948 0.6516 0.4113
0.9003 0.9146 0.8227
0.9510 0.1477 0.2357
```

Most intense lines, 5° ≤ 2θ ≤ 70°, low angle first:
2θ/deg	I_rel
17.89	20
18.59	100
19.27	49
22.42	16
22.66	22
32.08	51
33.31	25
33.97	14
34.49	14
40.07	25
40.42	26
42.03	23

Entry 3:
PrMgPt: calculated X-ray powder pattern (Cu Kα (λ = 1.5418 Å)), based on the PBE geometry in OQMD.
Peak positions follow from Bragg's law for the DFT cell and can differ from measured ones.

Structural model:
```
PrMgPt
1.0
7.5159 0.0000 0.0000
-3.7580 6.5090 0.0000
0.0000 0.0000 4.1944
Pr Mg Pt
3 3 3
Direct
0.0000 0.5873 0.0000
0.4127 0.4127 0.0000
0.5873 0.0000 0.0000
0.0000 0.2397 0.5000
0.2397 0.0000 0.5000
0.7603 0.7603 0.5000
0.0000 0.0000 0.0000
0.3333 0.6667 0.5000
0.6667 0.3333 0.5000
```

Most intense lines, 5° ≤ 2θ ≤ 70°, low angle first:
2θ/deg	I_rel
23.68	55
25.26	31
31.98	61
34.89	100
41.63	38
42.60	38
43.14	23
48.45	16
49.79	16
55.41	17
61.49	24
66.46	26

Entry 4:
Zr3Ga3NiIr2: calculated X-ray powder pattern (Cu Kα (λ = 1.5418 Å)), based on the PBE geometry in OQMD.
Peak positions follow from Bragg's law for the DFT cell and can differ from measured ones.

Structural model:
```
Zr3Ga3NiIr2
1.0
7.2716 0.0000 0.0000
-3.6358 6.2974 0.0000
0.0000 0.0000 3.3214
Zr Ga Ni Ir
3 3 1 2
Direct
0.0000 0.3897 0.0000
0.3897 0.0000 0.0000
0.6103 0.6103 0.0000
0.0000 0.7379 0.5000
0.2621 0.2621 0.5000
0.7379 0.0000 0.5000
0.0000 0.0000 0.0000
0.3333 0.6667 0.5000
0.6667 0.3333 0.5000
```

Most intense lines, 5° ≤ 2θ ≤ 70°, low angle first:
2θ/deg	I_rel
14.06	23
24.48	30
30.43	13
36.65	100
37.80	35
39.43	64
43.09	65
46.97	36
55.32	17
57.82	13
68.25	11
68.95	12

Entry 5:
Er3Tm4Ni2Te2: calculated X-ray powder pattern (Cu Kα (λ = 1.5418 Å)), based on the PBE geometry in OQMD.
Peak positions follow from Bragg's law for the DFT cell and can differ from measured ones.

Structural model:
```
Er3Tm4Ni2Te2
1.0
-1.9130 7.7307 4.7447
1.9130 -7.7307 4.7447
1.9130 7.7307 -4.7447
Er Tm Ni Te
3 4 2 2
Direct
0.0000 0.0000 0.0000
0.0642 0.3788 0.6854
0.6935 0.3788 0.3146
0.0834 0.7299 0.3535
0.3765 0.7299 0.6465
0.4493 0.5827 0.8667
0.7160 0.5827 0.1333
0.3095 0.0720 0.2376
0.8344 0.0720 0.7624
0.3374 0.3374 0.0000
0.7346 0.2346 0.5000
```

Most intense lines, 5° ≤ 2θ ≤ 70°, low angle first:
2θ/deg	I_rel
29.07	22
30.40	22
30.57	51
33.23	79
34.31	100
34.80	74
36.87	22
38.73	18
47.53	30
51.51	18
59.23	30
65.86	17

Entry 6:
CuAgHgGeSe4: calculated X-ray powder pattern (Cu Kα (λ = 1.5418 Å)), based on the PBE geometry in OQMD.
Peak positions follow from Bragg's law for the DFT cell and can differ from measured ones.

Structural model:
```
CuAgHgGeSe4
1.0
-3.0031 3.0031 5.7162
3.0031 -3.0031 5.7162
3.0031 3.0031 -5.7162
Cu Ag Hg Ge Se
1 1 1 1 4
Direct
0.0000 0.0000 0.0000
0.5000 0.5000 0.0000
0.7500 0.2500 0.5000
0.2500 0.7500 0.5000
0.1362 0.6677 0.0440
0.3323 0.3763 0.4685
0.6237 0.0922 0.9560
0.9078 0.8638 0.5315
```

Most intense lines, 5° ≤ 2θ ≤ 70°, low angle first:
2θ/deg	I_rel
16.67	8
26.14	100
27.72	8
34.29	11
42.57	24
43.72	47
46.02	4
50.65	30
52.64	16
61.78	7
68.25	6
69.92	13

Entry 7:
Pr2Y2CI2Br3: calculated X-ray powder pattern (Cu Kα (λ = 1.5418 Å)), based on the PBE geometry in OQMD.
Peak positions follow from Bragg's law for the DFT cell and can differ from measured ones.

Structural model:
```
Pr2Y2CI2Br3
1.0
9.4041 -1.9598 0.0000
9.4041 1.9598 0.0000
-1.7955 0.0000 8.1724
Pr Y C I Br
2 2 1 2 3
Direct
0.1385 0.1385 0.0739
0.8615 0.8615 0.9261
0.4990 0.4990 0.1978
0.5010 0.5010 0.8022
0.0000 0.0000 0.0000
0.3313 0.3313 0.2045
0.6687 0.6687 0.7955
0.0000 0.0000 0.5000
0.3476 0.3476 0.6526
0.6524 0.6524 0.3474
```

Most intense lines, 5° ≤ 2θ ≤ 70°, low angle first:
2θ/deg	I_rel
10.83	35
27.95	20
29.17	48
30.35	20
31.27	100
33.42	17
33.51	19
34.49	15
36.36	17
43.16	30
43.41	24
46.33	19

Entry 8:
TbErGeF2: calculated X-ray powder pattern (Cu Kα (λ = 1.5418 Å)), based on the PBE geometry in OQMD.
Peak positions follow from Bragg's law for the DFT cell and can differ from measured ones.

Structural model:
```
TbErGeF2
1.0
3.9845 0.0000 0.0000
-1.9923 3.4507 0.0000
0.0000 0.0000 6.5750
Tb Er Ge F
1 1 1 2
Direct
0.0000 0.0000 0.0000
0.3333 0.6667 0.5090
0.6667 0.3333 0.7519
0.0000 0.0000 0.3597
0.3333 0.6667 0.1578
```

Most intense lines, 5° ≤ 2θ ≤ 70°, low angle first:
2θ/deg	I_rel
13.47	4
25.82	10
27.12	15
29.23	100
37.80	38
45.53	38
49.25	33
53.80	14
55.03	17
55.94	5
60.61	9
69.31	11

Entry 9:
Ag2Hg7P8I6: calculated X-ray powder pattern (Cu Kα (λ = 1.5418 Å)), based on the PBE geometry in OQMD.
Peak positions follow from Bragg's law for the DFT cell and can differ from measured ones.

Structural model:
```
Ag2Hg7P8I6
1.0
6.7051 -5.6028 0.0000
6.7051 5.6028 0.0000
-1.8789 0.0000 8.3385
Ag Hg P I
2 7 8 6
Direct
0.0000 0.5000 0.0000
0.5000 0.0000 0.0000
0.0000 0.0000 0.5000
0.2708 0.6364 0.7343
0.2724 0.2724 0.3664
0.3636 0.7292 0.2657
0.6364 0.2708 0.7343
0.7276 0.7276 0.6336
0.7292 0.3636 0.2657
0.0790 0.7628 0.9209
0.0855 0.0855 0.2413
0.2372 0.9210 0.0791
0.4386 0.4386 0.5652
0.5614 0.5614 0.4348
0.7628 0.0790 0.9209
0.9145 0.9145 0.7587
0.9210 0.2372 0.0791
0.0378 0.6397 0.3494
0.3530 0.3530 0.0356
0.3603 0.9622 0.6506
0.6397 0.0378 0.3494
0.6470 0.6470 0.9644
0.9622 0.3603 0.6506
```

Most intense lines, 5° ≤ 2θ ≤ 70°, low angle first:
2θ/deg	I_rel
15.89	16
27.32	40
27.63	31
27.77	17
31.50	100
31.89	35
32.12	39
45.49	17
48.21	22
48.63	18
48.76	19
49.09	21

Entry 10:
LaTbCo2Si4: calculated X-ray powder pattern (Cu Kα (λ = 1.5418 Å)), based on the PBE geometry in OQMD.
Peak positions follow from Bragg's law for the DFT cell and can differ from measured ones.

Structural model:
```
LaTbCo2Si4
1.0
4.2998 0.0000 0.0000
0.0000 4.0228 0.0000
-1.8619 0.0000 7.8956
La Tb Co Si
1 1 2 4
Direct
0.0000 0.0000 0.0000
0.8010 0.5000 0.5931
0.2817 0.0000 0.4154
0.5335 0.5000 0.1872
0.0874 0.5000 0.2965
0.3545 0.0000 0.7018
0.4448 0.5000 0.8865
0.7274 0.0000 0.3111
```

Most intense lines, 5° ≤ 2θ ≤ 70°, low angle first:
2θ/deg	I_rel
21.63	21
24.84	31
30.83	34
31.12	47
31.76	36
34.61	100
35.37	35
35.90	43
40.98	39
42.06	32
45.07	33
58.92	20

Entry 11:
Co3AgPb5: calculated X-ray powder pattern (Cu Kα (λ = 1.5418 Å)), based on the PBE geometry in OQMD.
Peak positions follow from Bragg's law for the DFT cell and can differ from measured ones.

Structural model:
```
Co3AgPb5
1.0
5.4089 0.0000 0.0000
-2.7044 4.6842 0.0000
0.0000 0.0000 7.9210
Co Ag Pb
3 1 5
Direct
0.0000 0.5000 0.0000
0.5000 0.0000 0.0000
0.5000 0.5000 0.0000
0.0000 0.0000 0.5000
0.0000 0.0000 0.0000
0.3333 0.6667 0.2851
0.3333 0.6667 0.7149
0.6667 0.3333 0.2851
0.6667 0.3333 0.7149
```

Most intense lines, 5° ≤ 2θ ≤ 70°, low angle first:
2θ/deg	I_rel
29.54	91
33.12	100
33.95	17
40.15	14
40.39	24
44.97	57
45.82	12
48.17	18
56.97	30
57.70	22
59.17	20
69.52	18

Entry 12:
BaInPt2: calculated X-ray powder pattern (Cu Kα (λ = 1.5418 Å)), based on the PBE geometry in OQMD.
Peak positions follow from Bragg's law for the DFT cell and can differ from measured ones.

Structural model:
```
BaInPt2
1.0
4.7080 0.0000 0.0000
-2.3540 4.0772 0.0000
0.0000 0.0000 5.5560
Ba In Pt
1 1 2
Direct
0.0000 0.0000 0.0000
0.6667 0.3333 0.5000
0.3333 0.6667 0.2656
0.3333 0.6667 0.7344
```

Most intense lines, 5° ≤ 2θ ≤ 70°, low angle first:
2θ/deg	I_rel
21.80	59
27.13	52
38.23	86
39.24	100
44.44	10
47.51	11
54.41	9
55.95	36
60.03	8
62.55	10
69.12	15
69.79	37